[1]
The following is a theoretical XRD peak list of NaSr4Mg. It was derived from a cell relaxed with PBE, using Cu Kα (λ = 1.5418 Å).
Intensities are scaled so that the largest is 100.

Atomic structure:
Cell lengths 10.5609, 6.1086, 10.3347 Å; angles 90.00, 110.01, 90.00 degrees
Fractional positions:
Na  0.0000  0.0000  0.0000
Na  0.5000  0.5000  0.0000
Sr  0.1195  0.5000  0.8592
Sr  0.1323  0.0000  0.3972
Sr  0.3677  0.5000  0.6028
Sr  0.3805  0.0000  0.1408
Sr  0.6195  0.0000  0.8592
Sr  0.6323  0.5000  0.3972
Sr  0.8677  0.0000  0.6028
Sr  0.8805  0.5000  0.1408
Mg  0.0000  0.5000  0.5000
Mg  0.5000  0.0000  0.5000

The 8 most intense peaks (10° ≤ 2θ ≤ 90°), by intensity:
2θ (°)	intensity
20.77	100.0
29.27	79.0
29.79	68.7
42.25	26.1
36.16	24.4
47.18	22.8
52.19	18.5
47.88	16.9



[2]
The following is a theoretical XRD peak list of Na3Ga2Sb4. It was derived from a cell relaxed with PBE, using Cu Kα (λ = 1.5418 Å).
Intensities are scaled so that the largest is 100.

Atomic structure:
Cell lengths 7.1831, 7.1831, 9.5583 Å; angles 111.23, 111.23, 34.61 degrees
Fractional positions:
Na  0.0000  0.0000  0.0000
Na  0.3940  0.3940  0.3167
Na  0.6060  0.6060  0.6833
Ga  0.2870  0.2870  0.6438
Ga  0.7130  0.7130  0.3562
Sb  0.0971  0.0971  0.3852
Sb  0.3002  0.3002  0.9432
Sb  0.6998  0.6998  0.0568
Sb  0.9029  0.9029  0.6148

The 8 most intense peaks (10° ≤ 2θ ≤ 90°), by intensity:
2θ (°)	intensity
28.67	100.0
20.08	67.0
36.48	55.7
13.96	43.1
41.37	39.8
23.02	33.5
30.32	32.8
42.29	31.1



[3]
The following is a theoretical XRD peak list of V3Ni3C. It was derived from a cell relaxed with PBE, using Cu Kα (λ = 1.5418 Å).
Intensities are scaled so that the largest is 100.

Atomic structure:
Cell lengths 7.6201, 7.6201, 7.6201 Å; angles 60.00, 60.00, 60.00 degrees
Fractional positions:
V  0.0637  0.0637  0.6863
V  0.0637  0.6863  0.0637
V  0.0637  0.6863  0.6863
V  0.3137  0.3137  0.9363
V  0.3137  0.9363  0.3137
V  0.3137  0.9363  0.9363
V  0.6863  0.0637  0.0637
V  0.6863  0.0637  0.6863
V  0.6863  0.6863  0.0637
V  0.9363  0.3137  0.3137
V  0.9363  0.3137  0.9363
V  0.9363  0.9363  0.3137
Ni  0.0000  0.5000  0.5000
Ni  0.2894  0.2894  0.2894
Ni  0.2894  0.2894  0.6319
Ni  0.2894  0.6319  0.2894
Ni  0.3681  0.7106  0.7106
Ni  0.5000  0.0000  0.5000
Ni  0.5000  0.5000  0.0000
Ni  0.5000  0.5000  0.5000
Ni  0.6319  0.2894  0.2894
Ni  0.7106  0.3681  0.7106
Ni  0.7106  0.7106  0.3681
Ni  0.7106  0.7106  0.7106
C  0.0000  0.0000  0.0000
C  0.0000  0.0000  0.5000
C  0.0000  0.5000  0.0000
C  0.5000  0.0000  0.0000

The 8 most intense peaks (10° ≤ 2θ ≤ 90°), by intensity:
2θ (°)	intensity
43.64	100.0
47.74	30.9
41.03	26.4
74.75	24.7
14.24	16.0
50.84	11.8
76.56	6.7
81.94	6.3



[4]
The following is a theoretical XRD peak list of La3Rh5. It was derived from a cell relaxed with PBE, using Cu Kα (λ = 1.5418 Å).
Intensities are scaled so that the largest is 100.

Atomic structure:
Cell lengths 9.1986, 9.1986, 4.8447 Å; angles 90.00, 90.00, 60.06 degrees
Fractional positions:
La  0.1390  0.5005  0.2500
La  0.1394  0.8606  0.7500
La  0.5005  0.1390  0.7500
La  0.4995  0.8610  0.2500
La  0.8606  0.1394  0.2500
La  0.8610  0.4995  0.7500
Rh  0.1667  0.1667  0.0000
Rh  0.1667  0.1667  0.5000
Rh  0.3284  0.5000  0.7500
Rh  0.3290  0.6710  0.2500
Rh  0.5000  0.3284  0.2500
Rh  0.5000  0.6716  0.7500
Rh  0.6710  0.3290  0.7500
Rh  0.6716  0.5000  0.2500
Rh  0.8333  0.8333  0.0000
Rh  0.8333  0.8333  0.5000

The 8 most intense peaks (10° ≤ 2θ ≤ 90°), by intensity:
2θ (°)	intensity
43.55	100.0
35.08	87.3
33.74	67.7
26.72	65.0
42.16	42.9
55.05	42.4
29.66	37.5
40.83	30.8



[5]
The following is a theoretical XRD peak list of Dy3TlIn. It was derived from a cell relaxed with PBE, using Cu Kα (λ = 1.5418 Å).
Intensities are scaled so that the largest is 100.

Atomic structure:
Cell lengths 11.4082, 11.4082, 5.0305 Å; angles 90.00, 90.00, 154.52 degrees
Fractional positions:
Dy  0.0572  0.9428  0.7500
Dy  0.2499  0.7501  0.7500
Dy  0.4423  0.5577  0.7500
Dy  0.5577  0.4423  0.2500
Dy  0.7501  0.2499  0.2500
Dy  0.9428  0.0572  0.2500
Tl  0.3466  0.6534  0.2500
Tl  0.6534  0.3466  0.7500
In  0.1540  0.8460  0.2500
In  0.8460  0.1540  0.7500

The 8 most intense peaks (10° ≤ 2θ ≤ 90°), by intensity:
2θ (°)	intensity
32.21	100.0
35.69	38.9
61.94	31.0
55.10	20.2
51.37	13.8
40.54	12.3
67.40	11.0
68.53	9.1



[6]
The following is a theoretical XRD peak list of Mg8Pd2Pb3. It was derived from a cell relaxed with PBE, using Cu Kα (λ = 1.5418 Å).
Intensities are scaled so that the largest is 100.

Atomic structure:
Cell lengths 8.6040, 8.6040, 4.7618 Å; angles 90.00, 90.00, 118.43 degrees
Fractional positions:
Mg  0.1287  0.4205  0.5000
Mg  0.1332  0.8668  0.0000
Mg  0.3271  0.6729  0.0000
Mg  0.4205  0.1287  0.5000
Mg  0.5795  0.8713  0.5000
Mg  0.6729  0.3271  0.0000
Mg  0.8668  0.1332  0.0000
Mg  0.8713  0.5795  0.5000
Pd  0.2307  0.7693  0.5000
Pd  0.7693  0.2307  0.5000
Pb  0.0000  0.0000  0.5000
Pb  0.3021  0.3021  0.0000
Pb  0.6979  0.6979  0.0000

The 8 most intense peaks (10° ≤ 2θ ≤ 90°), by intensity:
2θ (°)	intensity
36.94	100.0
22.06	55.5
11.97	48.5
27.59	40.9
24.08	40.2
22.21	39.7
31.06	38.4
37.22	34.8